# 1
Mn2CrS5: simulated PXRD pattern (Cu Kα, 1.54184 Å), based on a structure optimized by DFT (GGA-PBE).

Structural model:
a = 8.5321 Å, b = 6.5420 Å, c = 6.2739 Å
α = 83.45°, β = 49.62°, γ = 46.93°
Fractional positions:
Mn1 0.1914 0.1914 0.8086
Mn2 0.8086 0.8086 0.1914
Cr1 0.5000 0.5000 0.5000
S1 0.0000 0.0000 0.0000
S2 0.2197 0.4622 0.5378
S3 0.4622 0.2197 0.7803
S4 0.5378 0.7803 0.2197
S5 0.7803 0.5378 0.4622

The 12 most intense peaks (2θ from 5° to 70°), sorted by position:
- 14.35 deg, rel. 71
- 15.04 deg, rel. 1000
- 31.61 deg, rel. 64
- 32.76 deg, rel. 57
- 37.89 deg, rel. 364
- 41.75 deg, rel. 171
- 42.42 deg, rel. 100
- 44.00 deg, rel. 104
- 44.62 deg, rel. 108
- 49.30 deg, rel. 185
- 61.04 deg, rel. 61
- 62.26 deg, rel. 68

---

# 2
MnCr2Se2S2: simulated PXRD pattern (Cu Kα, 1.54184 Å), based on a structure optimized by DFT (GGA-PBE).

Structural model:
a = 7.3552 Å, b = 7.3552 Å, c = 7.3552 Å
α = 60.00°, β = 60.00°, γ = 60.00°
Fractional positions:
Mn1 0.0000 0.0000 0.0000
Mn2 0.2500 0.2500 0.2500
Cr1 0.1116 0.6295 0.6295
Cr2 0.6295 0.1116 0.6295
Cr3 0.6295 0.6295 0.1116
Cr4 0.6295 0.6295 0.6295
Se1 0.3854 0.3854 0.3854
Se2 0.3854 0.3854 0.8437
Se3 0.3854 0.8437 0.3854
Se4 0.8437 0.3854 0.3854
S1 0.4086 0.8638 0.8638
S2 0.8638 0.4086 0.8638
S3 0.8638 0.8638 0.4086
S4 0.8638 0.8638 0.8638

The 12 most intense peaks (2θ from 5° to 70°), sorted by position:
- 14.75 deg, rel. 349
- 24.20 deg, rel. 206
- 28.46 deg, rel. 690
- 29.75 deg, rel. 271
- 34.49 deg, rel. 779
- 37.70 deg, rel. 113
- 42.58 deg, rel. 92
- 45.30 deg, rel. 459
- 49.57 deg, rel. 1000
- 58.89 deg, rel. 90
- 61.79 deg, rel. 152
- 69.40 deg, rel. 141

---

# 3
MnV2Cr2S6: simulated PXRD pattern (Cu Kα, 1.54184 Å), based on a structure optimized by DFT (GGA-PBE).

Structural model:
a = 6.1154 Å, b = 6.1154 Å, c = 6.0957 Å
α = 99.19°, β = 99.19°, γ = 120.20°
Fractional positions:
Mn1 0.0000 0.0000 0.0000
V1 0.3478 0.6522 0.0000
V2 0.6522 0.3478 0.0000
Cr1 0.1682 0.8318 0.5000
Cr2 0.8318 0.1682 0.5000
S1 0.0606 0.4219 0.2423
S2 0.2336 0.2336 0.7489
S3 0.4219 0.0606 0.2423
S4 0.5781 0.9394 0.7577
S5 0.7664 0.7664 0.2511
S6 0.9394 0.5781 0.7577

The 12 most intense peaks (2θ from 5° to 70°), sorted by position:
- 15.34 deg, rel. 68
- 17.48 deg, rel. 118
- 19.78 deg, rel. 103
- 22.77 deg, rel. 89
- 35.83 deg, rel. 1000
- 36.27 deg, rel. 499
- 46.51 deg, rel. 59
- 51.42 deg, rel. 163
- 51.73 deg, rel. 141
- 51.91 deg, rel. 615
- 64.55 deg, rel. 154
- 64.81 deg, rel. 134

---

# 4
MnZnCr4S8: simulated PXRD pattern (Cu Kα, 1.54184 Å), based on a structure optimized by DFT (GGA-PBE).

Structural model:
a = 7.1246 Å, b = 7.1246 Å, c = 7.1246 Å
α = 60.00°, β = 60.00°, γ = 60.00°
Fractional positions:
Mn1 0.0000 0.0000 0.0000
Zn1 0.7500 0.7500 0.7500
Cr1 0.3752 0.3752 0.3752
Cr2 0.3752 0.3752 0.8745
Cr3 0.3752 0.8745 0.3752
Cr4 0.8745 0.3752 0.3752
S1 0.1358 0.1358 0.1358
S2 0.1358 0.1358 0.5927
S3 0.1358 0.5927 0.1358
S4 0.1563 0.6146 0.6146
S5 0.5927 0.1358 0.1358
S6 0.6146 0.1563 0.6146
S7 0.6146 0.6146 0.1563
S8 0.6146 0.6146 0.6146

The 12 most intense peaks (2θ from 5° to 70°), sorted by position:
- 15.23 deg, rel. 114
- 25.00 deg, rel. 370
- 29.40 deg, rel. 1000
- 35.64 deg, rel. 476
- 44.03 deg, rel. 134
- 46.85 deg, rel. 505
- 51.29 deg, rel. 898
- 57.88 deg, rel. 48
- 60.23 deg, rel. 116
- 64.02 deg, rel. 84
- 66.24 deg, rel. 27
- 69.86 deg, rel. 79

---

# 5
ScMnCr2: simulated PXRD pattern (Cu Kα, 1.54184 Å), based on a structure optimized by DFT (GGA-PBE).

Structural model:
a = 3.0444 Å, b = 4.2730 Å, c = 4.3825 Å
α = 90.00°, β = 90.00°, γ = 90.00°
Fractional positions:
Sc1 0.0000 0.0000 0.0000
Mn1 0.5000 0.5000 0.0000
Cr1 0.0000 0.5000 0.5000
Cr2 0.5000 0.0000 0.5000

The 5 most intense peaks (2θ from 5° to 70°), sorted by position:
- 41.20 deg, rel. 263
- 41.86 deg, rel. 1000
- 42.30 deg, rel. 242
- 60.53 deg, rel. 149
- 60.86 deg, rel. 73

---

# 6
Mn3Cr3Se8: simulated PXRD pattern (Cu Kα, 1.54184 Å), based on a structure optimized by DFT (GGA-PBE).

Structural model:
a = 7.5722 Å, b = 7.5722 Å, c = 7.5722 Å
α = 60.03°, β = 60.03°, γ = 60.03°
Fractional positions:
Mn1 0.0000 0.0000 0.0000
Mn2 0.3753 0.3753 0.3753
Mn3 0.6247 0.6247 0.6247
Cr1 0.0000 0.0000 0.5000
Cr2 0.0000 0.5000 0.0000
Cr3 0.5000 0.0000 0.0000
Se1 0.2197 0.7582 0.7582
Se2 0.2394 0.2394 0.2394
Se3 0.2418 0.2418 0.7803
Se4 0.2418 0.7803 0.2418
Se5 0.7582 0.2197 0.7582
Se6 0.7582 0.7582 0.2197
Se7 0.7606 0.7606 0.7606
Se8 0.7803 0.2418 0.2418

The 12 most intense peaks (2θ from 5° to 70°), sorted by position:
- 14.32 deg, rel. 152
- 23.49 deg, rel. 131
- 27.62 deg, rel. 323
- 28.87 deg, rel. 535
- 33.46 deg, rel. 877
- 43.92 deg, rel. 328
- 48.05 deg, rel. 1000
- 56.32 deg, rel. 41
- 57.03 deg, rel. 198
- 59.82 deg, rel. 185
- 61.86 deg, rel. 69
- 67.12 deg, rel. 79

---

# 7
Mn2CrSe6: simulated PXRD pattern (Cu Kα, 1.54184 Å), based on a structure optimized by DFT (GGA-PBE).

Structural model:
a = 8.4530 Å, b = 8.4530 Å, c = 7.7837 Å
α = 110.56°, β = 110.56°, γ = 23.81°
Fractional positions:
Mn1 0.1667 0.1667 0.3321
Mn2 0.8333 0.8333 0.6679
Cr1 0.5000 0.5000 0.0000
Se1 0.0075 0.0075 0.2362
Se2 0.3278 0.3278 0.4385
Se3 0.3378 0.3378 0.8971
Se4 0.6622 0.6622 0.1029
Se5 0.6722 0.6722 0.5615
Se6 0.9925 0.9925 0.7638

The 12 most intense peaks (2θ from 5° to 70°), sorted by position:
- 13.41 deg, rel. 886
- 27.00 deg, rel. 189
- 30.73 deg, rel. 163
- 30.97 deg, rel. 327
- 34.67 deg, rel. 1000
- 34.86 deg, rel. 500
- 43.68 deg, rel. 184
- 47.11 deg, rel. 173
- 47.59 deg, rel. 348
- 52.30 deg, rel. 311
- 52.46 deg, rel. 155
- 64.55 deg, rel. 156

---

# 8
TaMn2CrSe6: simulated PXRD pattern (Cu Kα, 1.54184 Å), based on a structure optimized by DFT (GGA-PBE).

Structural model:
a = 6.8916 Å, b = 6.8916 Å, c = 6.8916 Å
α = 56.21°, β = 56.21°, γ = 56.21°
Fractional positions:
Ta1 0.0000 0.0000 0.0000
Mn1 0.3250 0.3250 0.3250
Mn2 0.8271 0.8271 0.8271
Cr1 0.5047 0.5047 0.5047
Se1 0.0986 0.4121 0.7375
Se2 0.2397 0.9129 0.5893
Se3 0.4121 0.7375 0.0986
Se4 0.5893 0.2397 0.9129
Se5 0.7375 0.0986 0.4121
Se6 0.9129 0.5893 0.2397

The 12 most intense peaks (2θ from 5° to 70°), sorted by position:
- 16.57 deg, rel. 178
- 18.81 deg, rel. 418
- 25.94 deg, rel. 189
- 31.61 deg, rel. 1000
- 38.15 deg, rel. 109
- 41.84 deg, rel. 819
- 47.65 deg, rel. 93
- 48.57 deg, rel. 522
- 55.43 deg, rel. 233
- 59.11 deg, rel. 159
- 64.45 deg, rel. 71
- 66.00 deg, rel. 201

---

# 9
MnZn3Cr8Se16: simulated PXRD pattern (Cu Kα, 1.54184 Å), based on a structure optimized by DFT (GGA-PBE).

Structural model:
a = 12.9966 Å, b = 12.9966 Å, c = 12.9966 Å
α = 33.57°, β = 33.57°, γ = 33.57°
Fractional positions:
Mn1 0.0000 0.0000 0.0000
Zn1 0.3749 0.3749 0.3749
Zn2 0.4999 0.4999 0.4999
Zn3 0.8749 0.8749 0.8749
Cr1 0.1873 0.1873 0.1873
Cr2 0.4372 0.4372 0.9370
Cr3 0.4372 0.9370 0.4372
Cr4 0.4381 0.9375 0.9375
Cr5 0.6876 0.6876 0.6876
Cr6 0.9370 0.4372 0.4372
Cr7 0.9375 0.4381 0.9375
Cr8 0.9375 0.9375 0.4381
Se1 0.0367 0.5782 0.5782
Se2 0.0677 0.0677 0.0677
Se3 0.0779 0.0779 0.5361
Se4 0.0779 0.5361 0.0779
Se5 0.2968 0.2968 0.8386
Se6 0.2968 0.8386 0.2968
Se7 0.3071 0.3071 0.3071
Se8 0.3386 0.7967 0.7967
Se9 0.5361 0.0779 0.0779
Se10 0.5676 0.5676 0.5676
Se11 0.5782 0.0367 0.5782
Se12 0.5782 0.5782 0.0367
Se13 0.7967 0.3386 0.7967
Se14 0.7967 0.7967 0.3386
Se15 0.8073 0.8073 0.8073
Se16 0.8386 0.2968 0.2968

The 12 most intense peaks (2θ from 5° to 70°), sorted by position:
- 14.45 deg, rel. 107
- 23.71 deg, rel. 174
- 27.88 deg, rel. 364
- 29.15 deg, rel. 519
- 33.78 deg, rel. 782
- 41.69 deg, rel. 56
- 44.35 deg, rel. 351
- 48.52 deg, rel. 1000
- 57.61 deg, rel. 191
- 60.43 deg, rel. 161
- 62.49 deg, rel. 62
- 67.82 deg, rel. 85

---

# 10
MnCr2Si: simulated PXRD pattern (Cu Kα, 1.54184 Å), based on a structure optimized by DFT (GGA-PBE).

Structural model:
a = 4.6272 Å, b = 4.6272 Å, c = 2.5321 Å
α = 98.97°, β = 98.97°, γ = 117.81°
Fractional positions:
Mn1 0.0000 0.0000 0.0000
Cr1 0.0000 0.5000 0.5000
Cr2 0.5000 0.0000 0.5000
Si1 0.5000 0.5000 0.0000

The 12 most intense peaks (2θ from 5° to 70°), sorted by position:
- 22.49 deg, rel. 168
- 37.25 deg, rel. 12
- 38.27 deg, rel. 31
- 39.43 deg, rel. 29
- 39.56 deg, rel. 10
- 43.92 deg, rel. 1000
- 45.79 deg, rel. 877
- 45.95 deg, rel. 867
- 49.11 deg, rel. 14
- 50.68 deg, rel. 13
- 64.12 deg, rel. 145
- 66.75 deg, rel. 255

---

# 11
MnCr2Si6: simulated PXRD pattern (Cu Kα, 1.54184 Å), based on a structure optimized by DFT (GGA-PBE).

Structural model:
a = 4.4043 Å, b = 4.4043 Å, c = 6.3735 Å
α = 90.00°, β = 90.00°, γ = 120.41°
Fractional positions:
Mn1 0.0000 0.0000 0.0000
Cr1 0.0000 0.5000 0.6657
Cr2 0.5000 0.0000 0.3343
Si1 0.1662 0.3335 0.3333
Si2 0.3335 0.1662 0.6667
Si3 0.3336 0.6664 0.0000
Si4 0.6664 0.3336 0.0000
Si5 0.6665 0.8338 0.6667
Si6 0.8338 0.6665 0.3333

The 12 most intense peaks (2θ from 5° to 70°), sorted by position:
- 27.21 deg, rel. 109
- 27.33 deg, rel. 195
- 36.78 deg, rel. 136
- 40.99 deg, rel. 155
- 41.25 deg, rel. 70
- 42.55 deg, rel. 605
- 43.48 deg, rel. 1000
- 43.74 deg, rel. 500
- 47.90 deg, rel. 44
- 50.37 deg, rel. 635
- 50.60 deg, rel. 312
- 60.56 deg, rel. 92

---

# 12
Mn5Cr2SiTc2: simulated PXRD pattern (Cu Kα, 1.54184 Å), based on a structure optimized by DFT (GGA-PBE).

Structural model:
a = 9.2317 Å, b = 9.2317 Å, c = 2.8485 Å
α = 90.00°, β = 90.00°, γ = 90.00°
Fractional positions:
Mn1 0.0000 0.5000 0.0000
Mn2 0.0535 0.1940 0.0000
Mn3 0.1940 0.9465 0.0000
Mn4 0.3060 0.4465 0.0000
Mn5 0.4465 0.6940 0.0000
Mn6 0.5000 0.0000 0.0000
Mn7 0.5535 0.3060 0.0000
Mn8 0.6940 0.5535 0.0000
Mn9 0.8060 0.0535 0.0000
Mn10 0.9465 0.8060 0.0000
Cr1 0.1325 0.3675 0.5000
Cr2 0.3675 0.8675 0.5000
Cr3 0.6325 0.1325 0.5000
Cr4 0.8675 0.6325 0.5000
Si1 0.0000 0.0000 0.5000
Si2 0.5000 0.5000 0.5000
Tc1 0.1779 0.6779 0.5000
Tc2 0.3221 0.1779 0.5000
Tc3 0.6779 0.8221 0.5000
Tc4 0.8221 0.3221 0.5000

The 12 most intense peaks (2θ from 5° to 70°), sorted by position:
- 13.56 deg, rel. 93
- 37.09 deg, rel. 257
- 38.39 deg, rel. 191
- 40.28 deg, rel. 676
- 41.50 deg, rel. 530
- 42.10 deg, rel. 222
- 43.86 deg, rel. 82
- 44.44 deg, rel. 1000
- 47.76 deg, rel. 328
- 50.92 deg, rel. 180
- 60.14 deg, rel. 103
- 65.54 deg, rel. 153

---

- Number 7 is which compound?
  Mn2CrSe6